# 1
Simulated XRD peak list of Li8Cr3SbO12 for Cu Kα (weighted mean of Kα1 and Kα2), from a cell relaxed with PBE+U.
Intensities are scaled so that the largest is 100.

Largest 10 diffraction maxima, in order of rising 2θ, 2θ = 10–90°:
Position (°2θ)	d/Å	I/Imax
10.33	8.563	15
20.37	4.360	97
20.54	4.323	100
20.75	4.282	20
32.55	2.751	40
32.62	2.745	19
33.04	2.711	17
41.16	2.193	19
51.54	1.773	16
51.68	1.769	27

Crystal structure
a b c (Å): 5.033 5.049 8.564
angles (deg): 90.40 90.62 90.80
Space group P1 (No. 1)
One atom of each set of equivalent atoms:
Li 0.000 0.000 0.000 [1 per cell]
Li 0.001 0.500 0.166 [1 per cell]
Li 0.003 0.000 0.309 [1 per cell]
Li 0.007 0.495 0.479 [1 per cell]
Li 0.494 0.508 0.809 [1 per cell]
Li 0.502 0.000 0.973 [1 per cell]
Li 0.510 0.017 0.674 [1 per cell]
Li 0.510 0.506 0.508 [1 per cell]
Cr 0.008 0.993 0.660 [1 per cell]
Cr 0.500 0.504 0.140 [1 per cell]
Cr 0.991 0.499 0.836 [1 per cell]
Sb 0.502 0.007 0.330 [1 per cell]
O 0.209 0.682 0.667 [1 per cell]
O 0.219 0.176 0.812 [1 per cell]
O 0.243 0.651 0.981 [1 per cell]
O 0.261 0.155 0.493 [1 per cell]
O 0.276 0.172 0.160 [1 per cell]
O 0.281 0.674 0.316 [1 per cell]
O 0.725 0.835 0.162 [1 per cell]
O 0.726 0.337 0.315 [1 per cell]
O 0.755 0.353 0.984 [1 per cell]
O 0.756 0.861 0.492 [1 per cell]
O 0.779 0.825 0.815 [1 per cell]
O 0.794 0.327 0.665 [1 per cell]



# 2
Simulated XRD peak list of Li6Cr3Sb3O16 for Cu Kα (weighted mean of Kα1 and Kα2), from a cell relaxed with PBE+U.
Intensities are scaled so that the largest is 100.

Largest 10 diffraction maxima, in order of rising 2θ, 2θ = 10–90°:
Position (°2θ)	d/Å	I/Imax
16.91	5.242	19
17.53	5.058	100
18.96	4.682	23
19.10	4.646	14
35.23	2.547	23
35.37	2.538	15
35.56	2.525	12
38.46	2.341	13
43.44	2.083	21
43.88	2.063	13

Crystal structure
a b c (Å): 10.468 6.076 10.117
angles (deg): 90.00 91.04 90.00
Space group Cm (No. 8)
One atom of each set of equivalent atoms:
Li 0.000 0.000 0.000 [2 per cell]
Li 0.002 0.000 0.364 [2 per cell]
Li 0.182 0.500 0.376 [2 per cell]
Li 0.185 0.500 0.883 [2 per cell]
Li 0.334 0.000 0.850 [2 per cell]
Li 0.341 0.000 0.486 [2 per cell]
Cr 0.252 0.247 0.164 [4 per cell]
Cr 0.339 0.500 0.662 [2 per cell]
Sb 0.086 0.247 0.662 [4 per cell]
Sb 0.499 0.000 0.165 [2 per cell]
O 0.005 0.000 0.775 [2 per cell]
O 0.018 0.500 0.774 [2 per cell]
O 0.096 0.271 0.271 [4 per cell]
O 0.159 0.000 0.552 [2 per cell]
O 0.166 0.500 0.062 [2 per cell]
O 0.169 0.500 0.557 [2 per cell]
O 0.180 0.000 0.074 [2 per cell]
O 0.246 0.267 0.769 [4 per cell]
O 0.321 0.500 0.260 [2 per cell]
O 0.336 0.000 0.274 [2 per cell]
O 0.405 0.231 0.060 [4 per cell]
O 0.428 0.268 0.555 [4 per cell]



# 3
Simulated XRD peak list of Li4Cr3Sn3Sb2O16 for Cu Kα (weighted mean of Kα1 and Kα2), from a cell relaxed with PBE+U.
Intensities are scaled so that the largest is 100.

Largest 10 diffraction maxima, in order of rising 2θ, 2θ = 10–90°:
Position (°2θ)	d/Å	I/Imax
17.44	5.085	53
18.67	4.754	100
18.78	4.726	42
24.03	3.704	33
24.16	3.683	33
31.12	2.874	43
33.78	2.654	58
33.99	2.638	30
34.50	2.600	79
59.69	1.549	32

Crystal structure
a b c (Å): 10.720 6.219 10.170
angles (deg): 90.00 90.47 90.00
Space group Cm (No. 8)
One atom of each set of equivalent atoms:
Li 0.000 0.000 0.000 [2 per cell]
Li 0.001 0.000 0.509 [2 per cell]
Li 0.177 0.500 0.601 [2 per cell]
Li 0.341 0.000 0.110 [2 per cell]
Cr 0.337 0.500 0.288 [2 per cell]
Cr 0.424 0.248 0.779 [4 per cell]
Sn 0.092 0.253 0.286 [4 per cell]
Sn 0.176 0.000 0.781 [2 per cell]
Sb 0.181 0.500 0.994 [2 per cell]
Sb 0.348 0.000 0.514 [2 per cell]
O 0.002 0.000 0.186 [2 per cell]
O 0.004 0.000 0.686 [2 per cell]
O 0.016 0.500 0.174 [2 per cell]
O 0.083 0.234 0.892 [4 per cell]
O 0.162 0.000 0.408 [2 per cell]
O 0.178 0.500 0.398 [2 per cell]
O 0.255 0.271 0.177 [4 per cell]
O 0.270 0.225 0.656 [4 per cell]
O 0.345 0.000 0.883 [2 per cell]
O 0.352 0.500 0.885 [2 per cell]
O 0.430 0.268 0.404 [4 per cell]
O 0.490 0.000 0.660 [2 per cell]



# 4
Simulated XRD peak list of Li2CrSi3O8 for Cu Kα (weighted mean of Kα1 and Kα2), from a cell relaxed with PBE+U.
Intensities are scaled so that the largest is 100.

Largest 10 diffraction maxima, in order of rising 2θ, 2θ = 10–90°:
Position (°2θ)	d/Å	I/Imax
14.21	6.231	23
19.18	4.627	100
21.95	4.050	57
22.98	3.871	82
25.50	3.492	50
25.84	3.448	38
27.11	3.289	52
31.98	2.798	28
33.67	2.662	31
36.38	2.470	21

Crystal structure
a b c (Å): 6.678 8.100 7.012
angles (deg): 90.00 111.07 90.00
Space group P2_1 (No. 4)
One atom of each set of equivalent atoms:
Li 0.108 0.000 0.066 [2 per cell]
Li 0.305 0.468 0.741 [2 per cell]
Cr 0.484 0.312 0.144 [2 per cell]
Si 0.097 0.765 0.436 [2 per cell]
Si 0.269 0.132 0.458 [2 per cell]
Si 0.308 0.652 0.152 [2 per cell]
O 0.094 0.672 0.223 [2 per cell]
O 0.128 0.962 0.400 [2 per cell]
O 0.154 0.261 0.572 [2 per cell]
O 0.259 0.496 0.997 [2 per cell]
O 0.267 0.691 0.641 [2 per cell]
O 0.272 0.196 0.243 [2 per cell]
O 0.363 0.830 0.074 [2 per cell]
O 0.497 0.086 0.638 [2 per cell]



# 5
Simulated XRD peak list of Li2CrSi6O15 for Cu Kα (weighted mean of Kα1 and Kα2), from a cell relaxed with PBE+U.
Intensities are scaled so that the largest is 100.

Largest 10 diffraction maxima, in order of rising 2θ, 2θ = 10–90°:
Position (°2θ)	d/Å	I/Imax
10.65	8.309	53
17.62	5.033	48
18.71	4.743	100
24.19	3.680	33
25.02	3.559	34
27.26	3.271	55
28.20	3.165	80
28.78	3.102	30
31.30	2.858	36
37.94	2.371	30

Crystal structure
a b c (Å): 7.877 14.720 10.066
angles (deg): 90.00 90.00 90.00
Space group Imma (No. 74)
One atom of each set of equivalent atoms:
Li 0.250 0.006 0.250 [8 per cell]
Cr 0.000 0.000 0.000 [4 per cell]
Si 0.000 0.149 0.271 [8 per cell]
Si 0.189 0.146 0.534 [16 per cell]
O 0.000 0.066 0.170 [8 per cell]
O 0.000 0.126 0.599 [8 per cell]
O 0.000 0.250 0.206 [4 per cell]
O 0.166 0.137 0.371 [16 per cell]
O 0.176 0.071 0.914 [16 per cell]
O 0.247 0.250 0.570 [8 per cell]



# 6
Simulated XRD peak list of Li2CrSi2O6 for Cu Kα (weighted mean of Kα1 and Kα2), from a cell relaxed with PBE+U.
Intensities are scaled so that the largest is 100.

Largest 10 diffraction maxima, in order of rising 2θ, 2θ = 10–90°:
Position (°2θ)	d/Å	I/Imax
17.13	5.176	57
19.46	4.562	90
19.60	4.528	100
25.86	3.446	53
26.21	3.400	87
26.35	3.382	33
32.11	2.788	80
34.66	2.588	30
39.81	2.264	65
56.72	1.623	24

Crystal structure
a b c (Å): 6.032 10.080 9.125
angles (deg): 90.00 90.91 90.00
Space group C2/c (No. 15)
One atom of each set of equivalent atoms:
Li 0.048 0.133 0.113 [8 per cell]
Cr 0.000 0.257 0.750 [4 per cell]
Si 0.163 0.464 0.139 [8 per cell]
O 0.000 0.377 0.250 [4 per cell]
O 0.000 0.500 0.000 [4 per cell]
O 0.131 0.129 0.908 [8 per cell]
O 0.249 0.101 0.282 [8 per cell]



# 7
Simulated XRD peak list of Li2Cr5Si4O14 for Cu Kα (weighted mean of Kα1 and Kα2), from a cell relaxed with PBE+U.
Intensities are scaled so that the largest is 100.

Largest 10 diffraction maxima, in order of rising 2θ, 2θ = 10–90°:
Position (°2θ)	d/Å	I/Imax
13.31	6.651	32
19.59	4.533	26
25.39	3.508	62
28.22	3.162	41
29.68	3.010	100
32.74	2.735	55
33.06	2.709	45
34.47	2.602	47
37.00	2.430	26
50.18	1.818	22

Crystal structure
a b c (Å): 5.652 7.660 8.038
angles (deg): 113.89 91.01 106.22
Space group P-1 (No. 2)
One atom of each set of equivalent atoms:
Li 0.225 0.110 0.457 [2 per cell]
Cr 0.000 0.000 0.000 [1 per cell]
Cr 0.076 0.380 0.812 [2 per cell]
Cr 0.338 0.428 0.291 [2 per cell]
Si 0.208 0.794 0.606 [2 per cell]
Si 0.490 0.227 0.857 [2 per cell]
O 0.025 0.190 0.270 [2 per cell]
O 0.117 0.833 0.433 [2 per cell]
O 0.223 0.645 0.047 [2 per cell]
O 0.300 0.234 0.011 [2 per cell]
O 0.300 0.599 0.556 [2 per cell]
O 0.401 0.323 0.723 [2 per cell]
O 0.462 0.988 0.730 [2 per cell]



# 8
Simulated XRD peak list of Li2CrSi6O15 for Cu Kα (weighted mean of Kα1 and Kα2), from a cell relaxed with PBE+U.
Intensities are scaled so that the largest is 100.

Largest 10 diffraction maxima, in order of rising 2θ, 2θ = 10–90°:
Position (°2θ)	d/Å	I/Imax
13.99	6.332	22
15.11	5.864	69
15.30	5.790	23
21.50	4.133	100
21.90	4.058	56
25.57	3.484	17
26.68	3.342	26
27.66	3.225	19
28.39	3.144	55
28.58	3.123	41

Crystal structure
a b c (Å): 7.077 7.171 7.456
angles (deg): 93.72 110.91 114.27
Space group P-1 (No. 2)
One atom of each set of equivalent atoms:
Li 0.242 0.308 0.000 [2 per cell]
Cr 0.000 0.500 0.000 [1 per cell]
Si 0.120 0.311 0.387 [2 per cell]
Si 0.298 0.999 0.307 [2 per cell]
Si 0.317 0.671 0.759 [2 per cell]
O 0.099 0.771 0.165 [2 per cell]
O 0.147 0.769 0.649 [2 per cell]
O 0.165 0.419 0.211 [2 per cell]
O 0.170 0.110 0.384 [2 per cell]
O 0.283 0.592 0.948 [2 per cell]
O 0.286 0.477 0.603 [2 per cell]
O 0.414 0.148 0.172 [2 per cell]
O 0.500 0.000 0.500 [1 per cell]



# 9
Simulated XRD peak list of Li2Cr3SnO8 for Cu Kα (weighted mean of Kα1 and Kα2), from a cell relaxed with PBE+U.
Intensities are scaled so that the largest is 100.

Largest 10 diffraction maxima, in order of rising 2θ, 2θ = 10–90°:
Position (°2θ)	d/Å	I/Imax
18.07	4.909	100
18.24	4.863	43
34.29	2.615	29
34.73	2.583	18
35.00	2.563	35
42.23	2.140	50
42.52	2.126	24
56.22	1.636	16
60.51	1.530	16
62.44	1.487	15

Crystal structure
a b c (Å): 10.270 6.011 6.101
angles (deg): 90.00 124.10 90.00
Space group C2/m (No. 12)
One atom of each set of equivalent atoms:
Li 0.126 0.000 0.368 [4 per cell]
Cr 0.000 0.500 0.000 [2 per cell]
Cr 0.250 0.250 0.000 [4 per cell]
Sn 0.000 0.500 0.500 [2 per cell]
O 0.011 0.273 0.773 [8 per cell]
O 0.227 0.500 0.204 [4 per cell]
O 0.242 0.500 0.770 [4 per cell]